# 1
# Na3Mg2P5O16
Theoretical powder diffractogram, λ = 1.5418 Å (Cu Kα). Input: a DFT-relaxed cell (GGA-PBE, Alexandria).
Intensities are scaled so that the largest is 100.

Largest 6 diffraction maxima, sorted by position, 5° ≤ 2θ ≤ 70°:
2θ = 13.55°, I 58.8; 2θ = 19.36°, I 71.3; 2θ = 21.74°, I 65.3; 2θ = 28.45°, I 61.6; 2θ = 31.19°, I 100.0; 2θ = 32.31°, I 48.7

Cell and atoms:
Cell: 5.244 6.968 18.828 Å, 90.00 90.30 90.00°
Fractional positions:
Na 0.000 0.026 0.250
Na 0.000 0.974 0.750
Na 0.249 0.349 0.467
Na 0.249 0.651 0.967
Na 0.751 0.349 0.033
Na 0.751 0.651 0.533
Mg 0.232 0.178 0.908
Mg 0.232 0.822 0.408
Mg 0.768 0.178 0.592
Mg 0.768 0.822 0.092
P 0.259 0.474 0.629
P 0.259 0.526 0.129
P 0.269 0.122 0.083
P 0.269 0.878 0.583
P 0.500 0.262 0.750
P 0.500 0.738 0.250
P 0.731 0.122 0.417
P 0.731 0.878 0.917
P 0.741 0.474 0.871
P 0.741 0.526 0.371
O 0.013 0.430 0.891
O 0.013 0.570 0.391
O 0.092 0.019 0.620
O 0.092 0.981 0.120
O 0.157 0.214 0.016
O 0.157 0.786 0.516
O 0.288 0.301 0.143
O 0.288 0.699 0.643
O 0.308 0.406 0.710
O 0.308 0.594 0.210
O 0.338 0.152 0.801
O 0.338 0.848 0.301
O 0.455 0.060 0.426
O 0.455 0.940 0.926
O 0.464 0.398 0.580
O 0.464 0.602 0.080
O 0.536 0.398 0.920
O 0.536 0.602 0.420
O 0.545 0.060 0.074
O 0.545 0.940 0.574
O 0.662 0.152 0.699
O 0.662 0.848 0.199
O 0.692 0.406 0.790
O 0.692 0.594 0.290
O 0.712 0.301 0.357
O 0.712 0.699 0.857
O 0.843 0.214 0.484
O 0.843 0.786 0.984
O 0.908 0.019 0.880
O 0.908 0.981 0.380
O 0.987 0.430 0.609
O 0.987 0.570 0.109

---

# 2
# Na2Mg5P4O16
Theoretical powder diffractogram, λ = 1.5418 Å (Cu Kα). Input: a DFT-relaxed cell (GGA-PBE, Alexandria).
Intensities are scaled so that the largest is 100.

Largest 6 diffraction maxima, sorted by position, 5° ≤ 2θ ≤ 70°:
2θ = 18.86°, I 51.0; 2θ = 24.41°, I 67.7; 2θ = 26.87°, I 95.9; 2θ = 27.90°, I 46.7; 2θ = 28.75°, I 100.0; 2θ = 34.54°, I 72.3

Cell and atoms:
Cell: 5.236 8.014 8.243 Å, 110.95 90.15 102.04°
Fractional positions:
Na 0.067 0.043 0.295
Na 0.933 0.957 0.705
Mg 0.139 0.408 0.674
Mg 0.405 0.746 0.222
Mg 0.500 0.000 0.000
Mg 0.595 0.254 0.778
Mg 0.861 0.592 0.326
P 0.120 0.301 0.025
P 0.368 0.786 0.570
P 0.632 0.214 0.430
P 0.880 0.699 0.975
O 0.154 0.492 0.172
O 0.171 0.811 0.440
O 0.177 0.786 0.037
O 0.238 0.630 0.625
O 0.244 0.171 0.082
O 0.261 0.327 0.864
O 0.388 0.248 0.533
O 0.435 0.969 0.733
O 0.565 0.031 0.267
O 0.612 0.752 0.467
O 0.739 0.673 0.136
O 0.756 0.829 0.918
O 0.762 0.370 0.375
O 0.823 0.214 0.963
O 0.829 0.189 0.560
O 0.846 0.508 0.828

---

# 3
# Na2SrMgP2O8
Theoretical powder diffractogram, λ = 1.5418 Å (Cu Kα). Input: a DFT-relaxed cell (GGA-PBE, Alexandria).
Intensities are scaled so that the largest is 100.

Largest 6 diffraction maxima, sorted by position, 5° ≤ 2θ ≤ 70°:
2θ = 23.24°, I 69.1; 2θ = 32.53°, I 100.0; 2θ = 33.52°, I 32.8; 2θ = 33.72°, I 94.2; 2θ = 39.42°, I 25.4; 2θ = 47.41°, I 42.1

Cell and atoms:
Cell: 5.316 5.316 13.715 Å, 90.17 90.17 60.40°
Fractional positions:
Na 0.141 0.192 0.092
Na 0.192 0.141 0.592
Na 0.808 0.859 0.408
Na 0.859 0.808 0.908
Sr 0.439 0.561 0.250
Sr 0.561 0.439 0.750
Mg 0.500 0.500 0.000
Mg 0.500 0.500 0.500
P 0.147 0.189 0.369
P 0.189 0.147 0.869
P 0.811 0.853 0.131
P 0.853 0.811 0.631
O 0.105 0.689 0.076
O 0.133 0.210 0.759
O 0.183 0.671 0.610
O 0.210 0.133 0.259
O 0.257 0.393 0.408
O 0.311 0.895 0.424
O 0.329 0.817 0.890
O 0.393 0.257 0.908
O 0.607 0.743 0.092
O 0.671 0.183 0.110
O 0.689 0.105 0.576
O 0.743 0.607 0.592
O 0.790 0.867 0.741
O 0.817 0.329 0.390
O 0.867 0.790 0.241
O 0.895 0.311 0.924

---

# 4
# NaMgPd2O4
Theoretical powder diffractogram, λ = 1.5418 Å (Cu Kα). Input: a DFT-relaxed cell (GGA-PBE, Alexandria).
Intensities are scaled so that the largest is 100.

Largest 6 diffraction maxima, sorted by position, 5° ≤ 2θ ≤ 70°:
2θ = 20.31°, I 68.6; 2θ = 28.26°, I 60.9; 2θ = 35.05°, I 100.0; 2θ = 40.40°, I 90.9; 2θ = 41.29°, I 41.9; 2θ = 59.14°, I 53.4

Cell and atoms:
Cell: 4.465 4.465 8.746 Å, 90.00 90.00 90.00°
Fractional positions:
Na 0.000 0.000 0.000
Na 0.500 0.500 0.500
Mg 0.000 0.000 0.500
Mg 0.500 0.500 0.000
Pd 0.000 0.500 0.250
Pd 0.000 0.500 0.750
Pd 0.500 0.000 0.250
Pd 0.500 0.000 0.750
O 0.000 0.000 0.266
O 0.000 0.000 0.734
O 0.000 0.500 0.000
O 0.000 0.500 0.500
O 0.500 0.000 0.000
O 0.500 0.000 0.500
O 0.500 0.500 0.234
O 0.500 0.500 0.766

---

# 5
# Na3MgRe2O9
Theoretical powder diffractogram, λ = 1.5418 Å (Cu Kα). Input: a DFT-relaxed cell (GGA-PBE, Alexandria).
Intensities are scaled so that the largest is 100.

Largest 6 diffraction maxima, sorted by position, 5° ≤ 2θ ≤ 70°:
2θ = 18.55°, I 24.1; 2θ = 22.74°, I 100.0; 2θ = 32.32°, I 44.5; 2θ = 32.43°, I 41.4; 2θ = 46.44°, I 32.5; 2θ = 57.80°, I 26.1

Cell and atoms:
Cell: 5.522 5.522 6.797 Å, 90.00 90.00 120.00°
Fractional positions:
Na 0.000 0.000 0.000
Na 0.333 0.667 0.672
Na 0.667 0.333 0.328
Mg 0.000 0.000 0.500
Re 0.333 0.667 0.177
Re 0.667 0.333 0.823
O 0.000 0.500 0.000
O 0.172 0.343 0.322
O 0.172 0.828 0.322
O 0.343 0.172 0.678
O 0.500 0.000 0.000
O 0.500 0.500 0.000
O 0.657 0.828 0.322
O 0.828 0.172 0.678
O 0.828 0.657 0.678

---

# 6
# Na3MgRh3O8
Theoretical powder diffractogram, λ = 1.5418 Å (Cu Kα). Input: a DFT-relaxed cell (GGA-PBE, Alexandria).
Intensities are scaled so that the largest is 100.

Largest 6 diffraction maxima, sorted by position, 5° ≤ 2θ ≤ 70°:
2θ = 16.46°, I 100.0; 2θ = 34.07°, I 30.7; 2θ = 35.44°, I 35.3; 2θ = 40.53°, I 82.2; 2θ = 57.22°, I 23.9; 2θ = 60.08°, I 24.2

Cell and atoms:
Cell: 6.453 6.453 6.453 Å, 57.02 57.02 57.02°
Fractional positions:
Na 0.000 0.500 0.500
Na 0.500 0.000 0.500
Na 0.500 0.500 0.000
Mg 0.500 0.500 0.500
Rh 0.000 0.000 0.500
Rh 0.000 0.500 0.000
Rh 0.500 0.000 0.000
O 0.222 0.735 0.735
O 0.234 0.234 0.234
O 0.265 0.265 0.778
O 0.265 0.778 0.265
O 0.735 0.222 0.735
O 0.735 0.735 0.222
O 0.766 0.766 0.766
O 0.778 0.265 0.265

---

# 7
# Na6MgS4O16
Theoretical powder diffractogram, λ = 1.5418 Å (Cu Kα). Input: a DFT-relaxed cell (GGA-PBE, Alexandria).
Intensities are scaled so that the largest is 100.

Largest 6 diffraction maxima, sorted by position, 5° ≤ 2θ ≤ 70°:
2θ = 21.67°, I 77.1; 2θ = 22.46°, I 54.6; 2θ = 25.42°, I 100.0; 2θ = 28.23°, I 69.0; 2θ = 28.82°, I 42.7; 2θ = 30.36°, I 47.9

Cell and atoms:
Cell: 10.019 9.272 8.352 Å, 90.00 114.10 90.00°
Fractional positions:
Na 0.044 0.151 0.417
Na 0.044 0.349 0.917
Na 0.189 0.014 0.030
Na 0.189 0.486 0.530
Na 0.391 0.639 0.317
Na 0.391 0.861 0.817
Na 0.609 0.139 0.183
Na 0.609 0.361 0.683
Na 0.811 0.514 0.470
Na 0.811 0.986 0.970
Na 0.956 0.651 0.083
Na 0.956 0.849 0.583
Mg 0.500 0.000 0.500
Mg 0.500 0.500 0.000
S 0.163 0.645 0.841
S 0.163 0.855 0.341
S 0.364 0.192 0.775
S 0.364 0.308 0.275
S 0.636 0.692 0.725
S 0.636 0.808 0.225
S 0.837 0.145 0.659
S 0.837 0.355 0.159
O 0.038 0.604 0.674
O 0.038 0.896 0.174
O 0.144 0.582 0.993
O 0.144 0.918 0.493
O 0.172 0.694 0.356
O 0.172 0.806 0.856
O 0.217 0.247 0.174
O 0.217 0.253 0.674
O 0.300 0.590 0.831
O 0.300 0.910 0.331
O 0.365 0.102 0.923
O 0.365 0.398 0.423
O 0.412 0.101 0.663
O 0.412 0.399 0.163
O 0.473 0.187 0.348
O 0.473 0.313 0.848
O 0.527 0.687 0.152
O 0.527 0.813 0.652
O 0.588 0.601 0.837
O 0.588 0.899 0.337
O 0.635 0.602 0.577
O 0.635 0.898 0.077
O 0.700 0.090 0.669
O 0.700 0.410 0.169
O 0.783 0.747 0.326
O 0.783 0.753 0.826
O 0.828 0.194 0.144
O 0.828 0.306 0.644
O 0.856 0.082 0.507
O 0.856 0.418 0.007
O 0.962 0.104 0.826
O 0.962 0.396 0.326

---

# 8
# NaMg3Se4O12
Theoretical powder diffractogram, λ = 1.5418 Å (Cu Kα). Input: a DFT-relaxed cell (GGA-PBE, Alexandria).
Intensities are scaled so that the largest is 100.

Largest 6 diffraction maxima, sorted by position, 5° ≤ 2θ ≤ 70°:
2θ = 16.64°, I 33.6; 2θ = 22.12°, I 42.9; 2θ = 27.80°, I 55.0; 2θ = 29.18°, I 100.0; 2θ = 32.85°, I 30.6; 2θ = 48.41°, I 29.7

Cell and atoms:
Cell: 6.730 6.730 6.730 Å, 104.70 104.70 104.70°
Fractional positions:
Na 0.000 0.000 0.000
Mg 0.000 0.575 0.425
Mg 0.425 0.000 0.575
Mg 0.575 0.425 0.000
Se 0.091 0.500 0.909
Se 0.500 0.500 0.500
Se 0.500 0.909 0.091
Se 0.909 0.091 0.500
O 0.023 0.260 0.363
O 0.070 0.930 0.500
O 0.260 0.363 0.023
O 0.329 0.671 0.500
O 0.363 0.023 0.260
O 0.500 0.070 0.930
O 0.500 0.329 0.671
O 0.637 0.740 0.977
O 0.671 0.500 0.329
O 0.740 0.977 0.637
O 0.930 0.500 0.070
O 0.977 0.637 0.740

---

Repeat the seventh record exactly.
# Na6MgS4O16
Theoretical powder diffractogram, λ = 1.5418 Å (Cu Kα). Input: a DFT-relaxed cell (GGA-PBE, Alexandria).
Intensities are scaled so that the largest is 100.

Largest 6 diffraction maxima, sorted by position, 5° ≤ 2θ ≤ 70°:
2θ = 21.67°, I 77.1; 2θ = 22.46°, I 54.6; 2θ = 25.42°, I 100.0; 2θ = 28.23°, I 69.0; 2θ = 28.82°, I 42.7; 2θ = 30.36°, I 47.9

Cell and atoms:
Cell: 10.019 9.272 8.352 Å, 90.00 114.10 90.00°
Fractional positions:
Na 0.044 0.151 0.417
Na 0.044 0.349 0.917
Na 0.189 0.014 0.030
Na 0.189 0.486 0.530
Na 0.391 0.639 0.317
Na 0.391 0.861 0.817
Na 0.609 0.139 0.183
Na 0.609 0.361 0.683
Na 0.811 0.514 0.470
Na 0.811 0.986 0.970
Na 0.956 0.651 0.083
Na 0.956 0.849 0.583
Mg 0.500 0.000 0.500
Mg 0.500 0.500 0.000
S 0.163 0.645 0.841
S 0.163 0.855 0.341
S 0.364 0.192 0.775
S 0.364 0.308 0.275
S 0.636 0.692 0.725
S 0.636 0.808 0.225
S 0.837 0.145 0.659
S 0.837 0.355 0.159
O 0.038 0.604 0.674
O 0.038 0.896 0.174
O 0.144 0.582 0.993
O 0.144 0.918 0.493
O 0.172 0.694 0.356
O 0.172 0.806 0.856
O 0.217 0.247 0.174
O 0.217 0.253 0.674
O 0.300 0.590 0.831
O 0.300 0.910 0.331
O 0.365 0.102 0.923
O 0.365 0.398 0.423
O 0.412 0.101 0.663
O 0.412 0.399 0.163
O 0.473 0.187 0.348
O 0.473 0.313 0.848
O 0.527 0.687 0.152
O 0.527 0.813 0.652
O 0.588 0.601 0.837
O 0.588 0.899 0.337
O 0.635 0.602 0.577
O 0.635 0.898 0.077
O 0.700 0.090 0.669
O 0.700 0.410 0.169
O 0.783 0.747 0.326
O 0.783 0.753 0.826
O 0.828 0.194 0.144
O 0.828 0.306 0.644
O 0.856 0.082 0.507
O 0.856 0.418 0.007
O 0.962 0.104 0.826
O 0.962 0.396 0.326